(1)
The following is a computed powder diffractogram of Ta3WS8. It was derived from a DFT-relaxed cell (GGA-PBE, Alexandria), using Cu Kα X-rays.
Kinematic intensities with the Lorentz-polarization factor, no thermal factor.

Structural model:
a b c (Å): 13.9377 13.9377 13.9377
angles (deg): 166.37 27.48 156.25
Sites, in units of the cell vectors:
Ta1 0.0000 0.0000 0.0000
Ta2 0.2541 0.0041 0.2500
Ta3 0.7541 0.0041 0.7500
W1 0.5066 0.0066 0.5000
S1 0.2854 0.3420 0.9435
S2 0.3627 0.6709 0.6919
S3 0.3985 0.3420 0.0565
S4 0.4790 0.6709 0.8081
S5 0.7756 0.3332 0.4425
S6 0.8627 0.6709 0.1919
S7 0.8907 0.3332 0.5575
S8 0.9790 0.6709 0.3081

Top 10 peaks for 2θ from 10° to 90°, most intense first:
d 6.769, 2θ = 13.08°, intensity 100; d 2.639, 2θ = 33.96°, intensity 54; d 2.187, 2θ = 41.27°, intensity 45; d 2.866, 2θ = 31.21°, intensity 23; d 1.773, 2θ = 51.55°, intensity 20; d 1.608, 2θ = 57.32°, intensity 14; d 1.655, 2θ = 55.53°, intensity 13; d 1.320, 2θ = 71.49°, intensity 9; d 1.183, 2θ = 81.32°, intensity 8; d 1.402, 2θ = 66.71°, intensity 8

(2)
The following is a computed powder diffractogram of PmPr4Nd2Er2. It was derived from a DFT-relaxed cell (GGA-PBE, Alexandria), using Cu Kα X-rays.
Kinematic intensities with the Lorentz-polarization factor, no thermal factor.

Structural model:
a b c (Å): 8.1860 8.1860 8.1472
angles (deg): 107.57 107.57 36.87
Sites, in units of the cell vectors:
Pm1 0.0000 0.0000 0.0000
Pr1 0.2222 0.2222 0.3292
Pr2 0.4454 0.4454 0.6700
Pr3 0.5546 0.5546 0.3300
Pr4 0.7778 0.7778 0.6708
Nd1 0.1119 0.1119 0.6696
Nd2 0.8881 0.8881 0.3304
Er1 0.3321 0.3321 0.0005
Er2 0.6679 0.6679 0.9995

Top 10 peaks for 2θ from 10° to 90°, most intense first:
d 2.984, 2θ = 29.95°, intensity 100; d 2.589, 2θ = 34.65°, intensity 34; d 1.560, 2θ = 59.22°, intensity 29; d 1.825, 2θ = 49.96°, intensity 24; d 2.575, 2θ = 34.85°, intensity 17; d 1.554, 2θ = 59.48°, intensity 14; d 1.492, 2θ = 62.23°, intensity 12; d 1.831, 2θ = 49.81°, intensity 12; d 1.185, 2θ = 81.19°, intensity 12; d 1.158, 2θ = 83.52°, intensity 7

(3)
The following is a computed powder diffractogram of Ba3LaTh2P6. It was derived from a DFT-relaxed cell (GGA-PBE, Alexandria), using Cu Kα X-rays.
Kinematic intensities with the Lorentz-polarization factor, no thermal factor.

Structural model:
a b c (Å): 7.5627 7.5627 7.7929
angles (deg): 99.31 99.31 120.01
Sites, in units of the cell vectors:
Ba1 0.0000 0.0000 0.0000
Ba2 0.3348 0.6652 0.0000
Ba3 0.6652 0.3348 0.0000
La1 0.5000 0.5000 0.5000
Th1 0.1670 0.8330 0.5000
Th2 0.8330 0.1670 0.5000
P1 0.0869 0.4292 0.2879
P2 0.2281 0.2281 0.7115
P3 0.4292 0.0869 0.2879
P4 0.5708 0.9131 0.7121
P5 0.7719 0.7719 0.2885
P6 0.9131 0.5708 0.7121

Top 10 peaks for 2θ from 10° to 90°, most intense first:
d 3.121, 2θ = 28.60°, intensity 100; d 3.578, 2θ = 24.89°, intensity 65; d 2.232, 2θ = 40.41°, intensity 37; d 2.183, 2θ = 41.36°, intensity 37; d 3.687, 2θ = 24.14°, intensity 24; d 1.878, 2θ = 48.46°, intensity 24; d 1.789, 2θ = 51.05°, intensity 20; d 1.384, 2θ = 67.72°, intensity 17; d 1.408, 2θ = 66.37°, intensity 16; d 1.909, 2θ = 47.63°, intensity 14

(4)
The following is a computed powder diffractogram of YZn2Au10. It was derived from a DFT-relaxed cell (GGA-PBE, Alexandria), using Cu Kα X-rays.
Kinematic intensities with the Lorentz-polarization factor, no thermal factor.

Structural model:
a b c (Å): 9.4330 7.2777 7.1598
angles (deg): 81.59 49.75 48.66
Sites, in units of the cell vectors:
Y1 0.0000 0.0000 0.0000
Zn1 0.0000 0.0000 0.5000
Zn2 0.5000 0.5000 0.0000
Au1 0.0000 0.5000 0.0000
Au2 0.0133 0.6666 0.3334
Au3 0.2857 0.5070 0.4930
Au4 0.3334 0.9867 0.0133
Au5 0.4930 0.7143 0.2857
Au6 0.5000 0.0000 0.5000
Au7 0.5070 0.2857 0.7143
Au8 0.6666 0.0133 0.9867
Au9 0.7143 0.4930 0.5070
Au10 0.9867 0.3334 0.6666

Top 10 peaks for 2θ from 10° to 90°, most intense first:
d 2.382, 2θ = 37.77°, intensity 100; d 2.358, 2θ = 38.17°, intensity 73; d 2.135, 2θ = 42.34°, intensity 70; d 2.347, 2θ = 38.35°, intensity 65; d 2.118, 2θ = 42.68°, intensity 55; d 2.732, 2θ = 32.78°, intensity 55; d 2.124, 2θ = 42.57°, intensity 40; d 1.366, 2θ = 68.72°, intensity 35; d 2.761, 2θ = 32.43°, intensity 35; d 1.191, 2θ = 80.67°, intensity 28